No. 1
This entry pairs a crystal structure of NdZnGePt3 with its simulated powder diffractogram. Radiation: Cu Kα (λ = 1.5418 Å). Structure: DFT lattice parameters and positions (PBE).
No peak broadening, texture or thermal motion is included.

Top 10 peaks for 10 to 90 degrees two-theta, by angle:
14.72 deg, I = 41
29.68 deg, I = 22
29.93 deg, I = 91
33.69 deg, I = 35
34.91 deg, I = 88
41.21 deg, I = 100
42.86 deg, I = 25
42.99 deg, I = 36
43.80 deg, I = 22
62.80 deg, I = 23

Structure:
a b c (Å): 6.932 6.932 5.685
angles (deg): 90.00 90.00 120.55
Positions (direct):
1 Nd 0.209 0.791 0.750
2 Nd 0.791 0.209 0.250
3 Zn 0.457 0.543 0.750
4 Zn 0.543 0.457 0.250
5 Ge 0.126 0.874 0.250
6 Ge 0.874 0.126 0.750
7 Pt 0.208 0.208 0.000
8 Pt 0.208 0.208 0.500
9 Pt 0.326 0.674 0.250
10 Pt 0.674 0.326 0.750
11 Pt 0.792 0.792 0.000
12 Pt 0.792 0.792 0.500

No. 2
This entry pairs a crystal structure of Ac8Pm3Ho with its simulated powder diffractogram. Radiation: Cu Kα (λ = 1.5418 Å). Structure: DFT lattice parameters and positions (PBE).
No peak broadening, texture or thermal motion is included.

Top 10 peaks for 10 to 90 degrees two-theta, by angle:
14.27 deg, I = 35
14.92 deg, I = 21
25.62 deg, I = 22
28.44 deg, I = 58
28.79 deg, I = 100
29.04 deg, I = 22
29.45 deg, I = 100
32.26 deg, I = 58
33.46 deg, I = 48
52.65 deg, I = 27

Structure:
a b c (Å): 9.315 9.315 7.278
angles (deg): 112.84 112.84 79.19
Positions (direct):
1 Ac 0.094 0.403 0.801
2 Ac 0.220 0.723 0.721
3 Ac 0.277 0.780 0.279
4 Ac 0.403 0.094 0.801
5 Ac 0.597 0.906 0.199
6 Ac 0.723 0.220 0.721
7 Ac 0.780 0.277 0.279
8 Ac 0.906 0.597 0.199
9 Pm 0.249 0.249 0.298
10 Pm 0.500 0.500 0.000
11 Pm 0.751 0.751 0.702
12 Ho 0.000 0.000 0.500

No. 3
This entry pairs a crystal structure of LiCaAcTl2 with its simulated powder diffractogram. Radiation: Cu Kα (λ = 1.5418 Å). Structure: DFT lattice parameters and positions (PBE).
No peak broadening, texture or thermal motion is included.

Top 10 peaks for 10 to 90 degrees two-theta, by angle:
13.91 deg, I = 67
23.22 deg, I = 100
32.34 deg, I = 96
33.79 deg, I = 77
35.36 deg, I = 44
40.19 deg, I = 25
46.80 deg, I = 19
47.47 deg, I = 30
52.50 deg, I = 23
58.61 deg, I = 33

Structure:
a b c (Å): 5.536 5.536 6.368
angles (deg): 90.00 90.00 120.00
Positions (direct):
1 Li 0.000 0.000 0.000
2 Ca 0.333 0.667 0.690
3 Ac 0.667 0.333 0.293
4 Tl 0.000 0.000 0.528
5 Tl 0.333 0.667 0.173

No. 4
This entry pairs a crystal structure of CaLaAl3 with its simulated powder diffractogram. Radiation: Cu Kα (λ = 1.5418 Å). Structure: DFT lattice parameters and positions (PBE).
No peak broadening, texture or thermal motion is included.

Top 10 peaks for 10 to 90 degrees two-theta, by angle:
16.76 deg, I = 20
23.79 deg, I = 100
29.24 deg, I = 53
33.89 deg, I = 59
41.83 deg, I = 44
48.68 deg, I = 41
54.88 deg, I = 20
57.81 deg, I = 23
66.09 deg, I = 22
81.34 deg, I = 18

Structure:
a b c (Å): 5.290 5.290 5.290
angles (deg): 90.00 90.00 90.00
Positions (direct):
1 Ca 0.000 0.000 0.000
2 La 0.500 0.500 0.500
3 Al 0.000 0.000 0.500
4 Al 0.000 0.500 0.000
5 Al 0.500 0.000 0.000

No. 5
This entry pairs a crystal structure of HoEr5Ni2 with its simulated powder diffractogram. Radiation: Cu Kα (λ = 1.5418 Å). Structure: DFT lattice parameters and positions (PBE).
No peak broadening, texture or thermal motion is included.

Top 10 peaks for 10 to 90 degrees two-theta, by angle:
27.42 deg, I = 26
29.24 deg, I = 74
34.12 deg, I = 46
34.89 deg, I = 100
38.72 deg, I = 17
45.54 deg, I = 19
47.94 deg, I = 16
54.50 deg, I = 23
59.80 deg, I = 20
60.15 deg, I = 18

Structure:
a b c (Å): 8.721 8.721 8.721
angles (deg): 154.86 131.43 55.46
Positions (direct):
1 Ho 0.000 0.000 0.000
2 Er 0.091 0.344 0.747
3 Er 0.402 0.656 0.747
4 Er 0.500 0.000 0.500
5 Er 0.598 0.344 0.253
6 Er 0.909 0.656 0.253
7 Ni 0.304 0.804 0.500
8 Ni 0.696 0.196 0.500

No. 6
This entry pairs a crystal structure of Na2B3C with its simulated powder diffractogram. Radiation: Cu Kα (λ = 1.5418 Å). Structure: DFT lattice parameters and positions (PBE).
No peak broadening, texture or thermal motion is included.

Top 10 peaks for 10 to 90 degrees two-theta, by angle:
34.34 deg, I = 13
36.37 deg, I = 16
40.33 deg, I = 49
41.73 deg, I = 38
42.11 deg, I = 100
56.53 deg, I = 9
62.83 deg, I = 18
76.44 deg, I = 13
78.29 deg, I = 17
80.94 deg, I = 9

Structure:
a b c (Å): 5.223 8.659 7.480
angles (deg): 90.00 110.42 90.00
Positions (direct):
1 Na 0.000 0.245 0.000
2 Na 0.000 0.755 0.000
3 Na 0.201 0.252 0.400
4 Na 0.201 0.748 0.400
5 Na 0.400 0.246 0.799
6 Na 0.400 0.754 0.799
7 Na 0.601 0.248 0.200
8 Na 0.601 0.752 0.200
9 Na 0.798 0.250 0.601
10 Na 0.798 0.750 0.601
11 B 0.047 0.500 0.794
12 B 0.049 0.000 0.789
13 B 0.163 0.000 0.590
14 B 0.230 0.500 0.196
15 B 0.332 0.000 0.007
16 B 0.357 0.500 0.008
17 B 0.454 0.500 0.606
18 B 0.521 0.000 0.400
19 B 0.548 0.500 0.393
20 B 0.661 0.000 0.010
21 B 0.681 0.500 0.998
22 B 0.725 0.000 0.793
23 B 0.848 0.000 0.400
24 B 0.882 0.500 0.401
25 B 0.973 0.000 0.210
26 C 0.141 0.500 0.604
27 C 0.266 0.000 0.204
28 C 0.462 0.000 0.596
29 C 0.738 0.500 0.797
30 C 0.940 0.500 0.200